This entry pairs a crystal structure of Pa2MnCoO8 with its computed XRD peak list. Radiation: Cu Kα (weighted mean of Kα1 and Kα2). Structure: a DFT-relaxed cell (PBE+U, Alexandria).
Neutral-atom scattering factors, no anomalous dispersion.

Cell and atoms:
Unit cell a=6.612 b=6.612 c=6.612 alpha=133.48 beta=133.48 gamma=67.91
Fractional coordinates of all 12 atoms:
Pa1 0.000 0.000 0.000
Pa2 0.750 0.250 0.500
Mn1 0.250 0.750 0.500
Co1 0.500 0.500 0.000
O1 0.000 0.389 0.040
O2 0.041 0.000 0.390
O3 0.151 0.600 0.905
O4 0.349 0.959 0.960
O5 0.400 0.304 0.551
O6 0.611 0.651 0.610
O7 0.696 0.246 0.095
O8 0.754 0.849 0.449

Most intense lines, 2θ from 10° to 90°, by angle:
2θ = 18.82°, intensity 49
2θ = 29.15°, intensity 100
2θ = 29.83°, intensity 12
2θ = 32.65°, intensity 16
2θ = 34.34°, intensity 22
2θ = 39.45°, intensity 17
2θ = 46.12°, intensity 13
2θ = 48.11°, intensity 29
2θ = 49.35°, intensity 15
2θ = 56.13°, intensity 17
2θ = 58.35°, intensity 31
2θ = 60.44°, intensity 12